(1)
# Gd3CuGeSe7
Theoretical XRD peak list, λ = 1.5418 Å (Cu Kα). Input: a structure optimized by DFT (GGA-PBE).
No peak broadening, texture or thermal motion is included.

Structure:
```
data_Gd3CuGeSe7
_cell_length_a 10.4537
_cell_length_b 10.4537
_cell_length_c 6.1019
_cell_angle_alpha 90.00
_cell_angle_beta 90.00
_cell_angle_gamma 120.00
_space_group_name_H-M_alt 'P 63'
_space_group_IT_number 173
loop_
_space_group_symop_operation_xyz
'x,y,z'
'x-y,x,z+1/2'
'-y,x-y,z'
'-x,-y,z+1/2'
'-x+y,-x,z'
'y,-x+y,z+1/2'
loop_
_atom_site_label
_atom_site_type_symbol
_atom_site_fract_x
_atom_site_fract_y
_atom_site_fract_z
Gd1 Gd 0.1330 0.3555 0.0000
Cu1 Cu 0.0000 0.0000 0.4632
Ge1 Ge 0.3333 0.6667 0.5823
Se1 Se 0.0945 0.5764 0.7465
Se2 Se 0.0986 0.2597 0.4763
Se3 Se 0.3333 0.6667 0.1956
```

The 8 most intense peaks (5° ≤ 2θ ≤ 70°), in order of rising 2θ:
d = 3.635 Å, I = 63, hkl 2 0 1; d = 2.985 Å, I = 54, hkl 1 2 1; d = 2.891 Å, I = 64, hkl 1 0 2; d = 2.705 Å, I = 53, hkl 3 0 1; d = 2.613 Å, I = 100, hkl 2 2 0; d = 2.530 Å, I = 59, hkl 2 0 2; d = 2.511 Å, I = 68, hkl 1 3 0; d = 2.277 Å, I = 58, hkl 1 2 2



(2)
# Nd3AlN
Theoretical XRD peak list, λ = 1.5418 Å (Cu Kα). Input: a structure optimized by DFT (GGA-PBE).
No peak broadening, texture or thermal motion is included.

Structure:
```
data_Nd3AlN
_cell_length_a 5.540
_cell_length_b 5.540
_cell_length_c 5.540
_cell_angle_alpha 90.00
_cell_angle_beta 90.00
_cell_angle_gamma 90.00
_space_group_name_H-M_alt 'P m -3 m'
_space_group_IT_number 221
_space_group_name_Hall '-P 4 2 3'
loop_
_atom_site_label
_atom_site_type_symbol
_atom_site_fract_x
_atom_site_fract_y
_atom_site_fract_z
Nd1 Nd 0.000 0.000 0.500
Al1 Al 0.000 0.000 0.000
N1 N 0.500 0.500 0.500
```

The 8 most intense peaks (5° ≤ 2θ ≤ 70°), in order of rising 2θ:
d = 5.540 Å, I = 40, hkl 1 0 0; d = 3.917 Å, I = 14, hkl 1 1 0; d = 3.199 Å, I = 100, hkl 1 1 1; d = 2.770 Å, I = 65, hkl 2 0 0; d = 2.478 Å, I = 21, hkl 2 1 0; d = 1.959 Å, I = 47, hkl 2 2 0; d = 1.670 Å, I = 45, hkl 3 1 1; d = 1.599 Å, I = 16, hkl 2 2 2



(3)
# Sr3Ge2P4
Theoretical XRD peak list, λ = 1.5418 Å (Cu Kα). Input: a structure optimized by DFT (GGA-PBE).
No peak broadening, texture or thermal motion is included.

Structure:
```
data_Sr3Ge2P4
_cell_length_a 7.504
_cell_length_b 18.278
_cell_length_c 7.318
_cell_angle_alpha 90.00
_cell_angle_beta 112.05
_cell_angle_gamma 90.00
_space_group_name_H-M_alt 'P 1 21/c 1'
_space_group_IT_number 14
loop_
_space_group_symop_operation_xyz
'x,y,z'
'-x,-y,-z'
'-x,y+1/2,-z+1/2'
'x,-y+1/2,z+1/2'
loop_
_atom_site_label
_atom_site_type_symbol
_atom_site_fract_x
_atom_site_fract_y
_atom_site_fract_z
Sr1 Sr 0.216 0.184 0.011
Sr2 Sr 0.256 0.063 0.511
Sr3 Sr 0.261 0.559 0.505
Ge1 Ge 0.212 0.627 0.027
Ge2 Ge 0.314 0.742 0.908
P1 P 0.010 0.561 0.757
P2 P 0.047 0.685 0.218
P3 P 0.491 0.568 0.238
P4 P 0.497 0.700 0.718
```

The 8 most intense peaks (5° ≤ 2θ ≤ 70°), in order of rising 2θ:
d = 3.667 Å, I = 15, hkl 1 4 -1; d = 3.478 Å, I = 19, hkl 2 0 0; d = 3.392 Å, I = 16, hkl 0 0 2; d = 3.069 Å, I = 100, hkl 1 4 1; d = 2.193 Å, I = 19, hkl 3 4 -1; d = 2.149 Å, I = 19, hkl 1 4 -3; d = 2.070 Å, I = 21, hkl 2 0 2; d = 1.833 Å, I = 9, hkl 2 8 -2



(4)
# RbCdB3O6
Theoretical XRD peak list, λ = 1.5418 Å (Cu Kα). Input: a structure optimized by DFT (GGA-PBE).
No peak broadening, texture or thermal motion is included.

Structure:
```
data_RbCdB3O6
_cell_length_a 7.475
_cell_length_b 13.490
_cell_length_c 13.105
_cell_angle_alpha 90.00
_cell_angle_beta 105.51
_cell_angle_gamma 90.00
_space_group_name_H-M_alt 'C 1 2/c 1'
_space_group_IT_number 15
loop_
_space_group_symop_operation_xyz
'x,y,z'
'-x,-y,-z'
'-x,y,-z+1/2'
'x,-y,z+1/2'
'x+1/2,y+1/2,z'
'-x+1/2,-y+1/2,-z'
'-x+1/2,y+1/2,-z+1/2'
'x+1/2,-y+1/2,z+1/2'
loop_
_atom_site_label
_atom_site_type_symbol
_atom_site_fract_x
_atom_site_fract_y
_atom_site_fract_z
Rb1 Rb 0.189 0.007 0.371
Cd1 Cd 0.168 0.322 0.877
B1 B 0.010 0.322 0.411
B2 B 0.232 0.443 0.373
B3 B 0.235 0.235 0.660
O1 O 0.077 0.420 0.411
O2 O 0.108 0.246 0.377
O3 O 0.141 0.311 0.688
O4 O 0.145 0.305 0.058
O5 O 0.181 0.136 0.666
O6 O 0.199 0.034 0.125
```

The 8 most intense peaks (5° ≤ 2θ ≤ 70°), in order of rising 2θ:
d = 6.304 Å, I = 70, hkl 1 1 -1; d = 3.813 Å, I = 60, hkl 1 3 0; d = 3.602 Å, I = 43, hkl 2 0 0; d = 3.566 Å, I = 33, hkl 2 0 -2; d = 3.491 Å, I = 77, hkl 1 3 -2; d = 3.157 Å, I = 100, hkl 0 0 4; d = 3.078 Å, I = 66, hkl 1 3 2; d = 2.118 Å, I = 36, hkl 3 3 0



(5)
# Na11TiNb2Si4P2O24F2
Theoretical XRD peak list, λ = 1.5418 Å (Cu Kα). Input: a structure optimized by DFT (GGA-PBE).
No peak broadening, texture or thermal motion is included.

Structure:
```
data_Na11TiNb2Si4P2O24F2
_cell_length_a 5.617
_cell_length_b 7.286
_cell_length_c 14.707
_cell_angle_alpha 92.81
_cell_angle_beta 95.62
_cell_angle_gamma 90.65
_space_group_name_H-M_alt 'P -1'
_space_group_IT_number 2
loop_
_space_group_symop_operation_xyz
'x,y,z'
'-x,-y,-z'
loop_
_atom_site_label
_atom_site_type_symbol
_atom_site_fract_x
_atom_site_fract_y
_atom_site_fract_z
Na1 Na 0.000 0.000 0.000
Na2 Na 0.184 0.481 0.399
Na3 Na 0.198 0.006 0.367
Na4 Na 0.246 0.235 0.579
Na5 Na 0.290 0.511 0.764
Na6 Na 0.497 0.744 0.002
Ti1 Ti 0.000 0.500 0.000
Nb1 Nb 0.298 0.992 0.783
Si1 Si 0.186 0.720 0.197
Si2 Si 0.201 0.295 0.185
P1 P 0.311 0.756 0.566
O1 O 0.013 0.813 0.772
O2 O 0.046 0.196 0.755
O3 O 0.158 0.304 0.074
O4 O 0.160 0.707 0.086
O5 O 0.168 0.773 0.471
O6 O 0.204 0.506 0.235
O7 O 0.234 0.575 0.608
O8 O 0.256 0.930 0.630
O9 O 0.318 0.016 0.907
O10 O 0.416 0.243 0.444
O11 O 0.436 0.824 0.242
O12 O 0.462 0.213 0.217
F1 F 0.276 0.502 0.924
```

The 8 most intense peaks (5° ≤ 2θ ≤ 70°), in order of rising 2θ:
d = 7.300 Å, I = 72, hkl 0 0 2; d = 5.291 Å, I = 63, hkl 0 1 -2; d = 5.045 Å, I = 51, hkl 1 0 1; d = 4.341 Å, I = 100, hkl 1 1 -1; d = 2.924 Å, I = 93, hkl 0 0 5; d = 2.820 Å, I = 87, hkl 1 -2 2; d = 2.796 Å, I = 86, hkl 2 0 -1; d = 2.705 Å, I = 87, hkl 1 2 2



(6)
# Tm2B6Rh9
Theoretical XRD peak list, λ = 1.5418 Å (Cu Kα). Input: a structure optimized by DFT (GGA-PBE).
No peak broadening, texture or thermal motion is included.

Structure:
```
data_Tm2B6Rh9
_cell_length_a 5.5921
_cell_length_b 5.5921
_cell_length_c 8.5671
_cell_angle_alpha 90.00
_cell_angle_beta 90.00
_cell_angle_gamma 120.00
_space_group_name_H-M_alt 'P 6/m m m'
_space_group_IT_number 191
_space_group_name_Hall '-P 6 2'
loop_
_atom_site_label
_atom_site_type_symbol
_atom_site_fract_x
_atom_site_fract_y
_atom_site_fract_z
Tm1 Tm 0.0000 0.0000 0.2046
B1 B 0.3333 0.6667 0.1672
B2 B 0.3333 0.6667 0.5000
Rh1 Rh 0.0000 0.5000 0.0000
Rh2 Rh 0.0000 0.5000 0.3350
```

The 8 most intense peaks (5° ≤ 2θ ≤ 70°), in order of rising 2θ:
d = 3.209 Å, I = 22, hkl 1 0 2; d = 2.856 Å, I = 14, hkl 0 0 3; d = 2.460 Å, I = 39, hkl 1 0 3; d = 2.421 Å, I = 100, hkl 2 0 0; d = 1.998 Å, I = 27, hkl 1 1 3; d = 1.847 Å, I = 28, hkl 2 0 3; d = 1.541 Å, I = 19, hkl 2 1 3; d = 1.398 Å, I = 22, hkl 2 2 0



(7)
# Te2MoWS2
Theoretical XRD peak list, λ = 1.5418 Å (Cu Kα). Input: a structure optimized by DFT (GGA-PBE).
No peak broadening, texture or thermal motion is included.

Structure:
```
data_Te2MoWS2
_cell_length_a 3.3581
_cell_length_b 3.3581
_cell_length_c 38.3234
_cell_angle_alpha 90.00
_cell_angle_beta 90.00
_cell_angle_gamma 120.00
_space_group_name_H-M_alt 'P 3 m 1'
_space_group_IT_number 156
loop_
_space_group_symop_operation_xyz
'x,y,z'
'-y,x-y,z'
'-x+y,-x,z'
'-y,-x,z'
'-x+y,y,z'
'x,x-y,z'
loop_
_atom_site_label
_atom_site_type_symbol
_atom_site_fract_x
_atom_site_fract_y
_atom_site_fract_z
Te1 Te 0.0000 0.0000 0.0000
Te2 Te 0.0000 0.0000 0.0993
Te3 Te 0.3333 0.6667 0.4367
Te4 Te 0.3333 0.6667 0.5354
Mo1 Mo 0.0000 0.0000 0.4860
Mo2 Mo 0.0000 0.0000 0.8618
W1 W 0.3333 0.6667 0.0497
W2 W 0.3333 0.6667 0.6739
S1 S 0.0000 0.0000 0.6343
S2 S 0.0000 0.0000 0.7136
S3 S 0.3333 0.6667 0.8223
S4 S 0.3333 0.6667 0.9013
```

The 8 most intense peaks (5° ≤ 2θ ≤ 70°), in order of rising 2θ:
d = 12.774 Å, I = 74, hkl 0 0 3; d = 7.665 Å, I = 100, hkl 0 0 5; d = 6.387 Å, I = 22, hkl 0 0 6; d = 2.906 Å, I = 48, hkl 1 0 0; d = 2.486 Å, I = 95, hkl 0 1 8; d = 2.317 Å, I = 25, hkl 1 0 10; d = 2.070 Å, I = 44, hkl 1 0 13; d = 1.679 Å, I = 27, hkl 1 1 0



(8)
# LuInAg2
Theoretical XRD peak list, λ = 1.5418 Å (Cu Kα). Input: a structure optimized by DFT (GGA-PBE).
No peak broadening, texture or thermal motion is included.

Structure:
```
data_LuInAg2
_cell_length_a 6.933
_cell_length_b 6.933
_cell_length_c 6.933
_cell_angle_alpha 90.00
_cell_angle_beta 90.00
_cell_angle_gamma 90.00
_space_group_name_H-M_alt 'F m -3 m'
_space_group_IT_number 225
_space_group_name_Hall '-F 4 2 3'
loop_
_atom_site_label
_atom_site_type_symbol
_atom_site_fract_x
_atom_site_fract_y
_atom_site_fract_z
Lu1 Lu 0.000 0.000 0.000
In1 In 0.000 0.000 0.500
Ag1 Ag 0.250 0.250 0.250
```

The 8 most intense peaks (5° ≤ 2θ ≤ 70°), in order of rising 2θ:
d = 4.003 Å, I = 3, hkl 1 1 1; d = 3.466 Å, I = 2, hkl 2 0 0; d = 2.451 Å, I = 100, hkl 2 2 0; d = 2.090 Å, I = 2, hkl 3 1 1; d = 1.733 Å, I = 17, hkl 4 0 0; d = 1.590 Å, I = 1, hkl 3 3 1; d = 1.550 Å, I = 1, hkl 4 2 0; d = 1.415 Å, I = 34, hkl 4 2 2